This entry pairs a crystal structure of Ni5P4O16 with its simulated powder XRD pattern. Radiation: Cu Kα (λ = 1.5418 Å). Structure: a structure optimized by DFT (GGA+U).
No peak broadening, texture or thermal motion is included.

The 8 most intense peaks (10° ≤ 2θ ≤ 80°), low angle first:
Position (°2θ), intensity, index
13.3, 39, 0 1 -1
19.6, 99, 1 -1 0
20.0, 100, 0 1 1
28.4, 45, 1 0 -2
29.3, 54, 1 1 1
33.1, 41, -1 2 1
35.8, 59, 2 -1 0
38.0, 48, 1 -2 3

Cell and atoms:
```
data_Ni5P4O16
_chemical_formula_sum 'Ni5 P4 O16'
_space_group_name_H-M_alt 'P -1'
_space_group_IT_number 2
_space_group_name_Hall '-P 1'
_cell_length_a 5.062
_cell_length_b 7.915
_cell_length_c 8.255
_cell_angle_alpha 112.26
_cell_angle_beta 90.12
_cell_angle_gamma 100.94
loop_
_atom_site_label
_atom_site_type_symbol
_atom_site_fract_x
_atom_site_fract_y
_atom_site_fract_z
Ni1 Ni 0.000 0.000 0.000
Ni2 Ni 0.105 0.236 0.765
Ni3 Ni 0.346 0.594 0.320
P1 P 0.150 0.213 0.426
P2 P 0.381 0.701 0.975
O1 O 0.074 0.031 0.262
O2 O 0.084 0.754 0.447
O3 O 0.226 0.674 0.130
O4 O 0.249 0.823 0.908
O5 O 0.257 0.376 0.377
O6 O 0.314 0.216 0.965
O7 O 0.355 0.185 0.555
O8 O 0.355 0.503 0.826
```